# La2DyAg2
Calculated powder diffractogram, Cu Kα (λ = 1.5418 Å). Input: DFT lattice parameters and positions (GGA-PBE).
Neutral-atom scattering factors, no anomalous dispersion.

Structural model:
```
La2DyAg2
1.0
6.6716 0.0000 0.0000
0.0000 5.1065 0.0000
-2.8966 0.0000 8.3592
La Dy Ag
4 2 4
Direct
0.0952 0.2500 0.3725
0.1206 0.2500 0.9539
0.8794 0.7500 0.0461
0.9048 0.7500 0.6275
0.4543 0.7500 0.2379
0.5457 0.2500 0.7621
0.3719 0.7500 0.8874
0.3871 0.7500 0.5575
0.6129 0.2500 0.4425
0.6281 0.2500 0.1126
```

Main lines, by angle (15° ≤ 2θ ≤ 90°):
| hkl | Position (°2θ) | I (rel.) |
| --- | --- | --- |
| 1 1 -2 | 27.6 | 43.3 |
| 1 0 2 | 29.2 | 20.3 |
| 2 1 0 | 33.4 | 100.0 |
| 0 2 0 | 35.1 | 57.2 |
| 1 1 -3 | 35.3 | 73.2 |
| 0 1 3 | 36.7 | 27.0 |
| 1 0 3 | 39.4 | 20.4 |
| 1 2 2 | 46.4 | 22.0 |
| 1 2 3 | 53.8 | 18.3 |
| 3 2 -3 | 58.1 | 21.2 |


# La5DyAg4
Calculated powder diffractogram, Cu Kα (λ = 1.5418 Å). Input: DFT lattice parameters and positions (GGA-PBE).
Neutral-atom scattering factors, no anomalous dispersion.

Structural model:
```
La5DyAg4
1.0
3.7993 0.0000 0.0000
0.0000 3.7993 0.0000
0.0000 0.0000 20.3244
La Dy Ag
5 1 4
Direct
0.0000 0.0000 0.0000
0.0000 0.0000 0.1912
0.0000 0.0000 0.3801
0.0000 0.0000 0.6199
0.0000 0.0000 0.8088
0.5000 0.5000 0.5000
0.5000 0.5000 0.0951
0.5000 0.5000 0.2876
0.5000 0.5000 0.7124
0.5000 0.5000 0.9049
```

Main lines, by angle (15° ≤ 2θ ≤ 90°):
| hkl | Position (°2θ) | I (rel.) |
| --- | --- | --- |
| 1 0 5 | 32.3 | 100.0 |
| 1 1 0 | 33.4 | 52.1 |
| 0 0 10 | 44.6 | 6.7 |
| 2 0 0 | 47.9 | 18.6 |
| 1 1 10 | 56.8 | 12.9 |
| 2 1 5 | 58.9 | 34.6 |
| 2 0 10 | 67.5 | 7.6 |
| 2 2 0 | 70.0 | 5.8 |
| 3 0 5 | 79.2 | 7.5 |
| 3 1 0 | 79.8 | 8.1 |